(1)
For Li3BiB2O6, DFT lattice parameters and positions (PBE) gives the theoretical PXRD pattern in this record (Cu Kα).
Intensities are scaled so that the largest is 100.

Main lines, low angle first (15° ≤ 2θ ≤ 90°):
2θ/deg	intensity
21.71	100
23.30	52
24.13	52
27.18	81
27.37	47
29.20	33

Structural model:
```
Li3BiB2O6
1.0
4.9871 0.0000 0.0000
0.4268 7.3890 0.0000
0.5618 3.2426 7.7072
Li Bi B O
6 2 4 12
Direct
0.1926 0.0724 0.0720 Li
0.2968 0.9516 0.7302 Li
0.3074 0.2415 0.3586 Li
0.6926 0.7585 0.6414 Li
0.7032 0.0484 0.2698 Li
0.8074 0.9276 0.9280 Li
0.2047 0.4416 0.6845 Bi
0.7953 0.5584 0.3155 Bi
0.1823 0.8628 0.4373 B
0.3235 0.6953 0.0860 B
0.6765 0.3047 0.9140 B
0.8177 0.1372 0.5627 B
0.0750 0.1946 0.5767 O
0.1801 0.8490 0.9795 O
0.2100 0.5328 0.2260 O
0.3006 0.7623 0.6007 O
0.3143 0.0046 0.3054 O
0.3930 0.3099 0.9298 O
0.6070 0.6901 0.0702 O
0.6857 0.9954 0.6946 O
0.6994 0.2377 0.3993 O
0.7900 0.4672 0.7740 O
0.8199 0.1510 0.0205 O
0.9250 0.8054 0.4233 O
```

(2)
For AlCr6Fe2, DFT lattice parameters and positions (PBE) gives the theoretical PXRD pattern in this record (Cu Kα).
Intensities are scaled so that the largest is 100.

Main lines, low angle first (15° ≤ 2θ ≤ 90°):
2θ/deg	intensity
40.56	45
41.08	93
41.80	61
44.61	45
46.26	100
54.81	75

Structural model:
```
AlCr6Fe2
1.0
4.3262 -2.4563 0.0000
4.3262 2.4563 0.0000
-0.2430 0.0000 5.2449
Al Cr Fe
1 6 2
Direct
0.0000 0.0000 0.0000 Al
0.0633 0.4823 0.7599 Cr
0.2257 0.7743 0.5000 Cr
0.4823 0.0633 0.7599 Cr
0.5177 0.9367 0.2401 Cr
0.7743 0.2257 0.5000 Cr
0.9367 0.5177 0.2401 Cr
0.4345 0.4345 0.1644 Fe
0.5655 0.5655 0.8356 Fe
```